Structure and theoretical powder XRD pattern of Li3Fe9O5F11 (the PBE+U geometry in the Materials Project; Cu Ka).
Kinematic intensities with the Lorentz-polarization factor, no thermal factor.

The 8 most intense peaks (2θ from 15° to 90°), most intense first:
hkl	two_theta	d (Å)	I/Imax
1 1 -3	33.61	2.666	100
0 1 -3	28.69	3.112	69
2 2 -2	58.17	1.586	60
2 0 -2	33.75	2.655	57
1 1 1	32.86	2.726	39
-1 1 3	28.96	3.083	39
-2 1 3	34.39	2.608	36
2 -2 0	34.16	2.625	36

Cell and atoms:
```
Li3Fe9O5F11
1.0
6.1617 0.0000 0.0000
-2.9514 5.4767 0.0000
-2.8658 -1.6709 10.2044
Li Fe O F
3 9 5 11
direct
0.0000 0.0000 0.0000
0.0052 0.4846 0.0014
0.0331 0.2310 0.2306
0.0270 0.5149 0.4965
0.0279 0.7375 0.7420
0.0328 0.0004 0.4957
0.3947 0.4216 0.7818
0.4243 0.9258 0.2865
0.5256 0.9905 0.0064
0.5312 0.4966 0.4951
0.6170 0.0967 0.6832
0.6564 0.6090 0.1961
0.2504 0.8669 0.6239
0.2532 0.3622 0.5884
0.7707 0.9057 0.1179
0.7864 0.6493 0.3910
0.7878 0.4028 0.6210
0.2159 0.8435 0.0965
0.2465 0.3716 0.1146
0.2532 0.5970 0.3521
0.2652 0.0999 0.8785
0.2681 0.6205 0.8778
0.2915 0.1265 0.3643
0.7379 0.3567 0.1124
0.7795 0.8747 0.6291
0.7828 0.1465 0.8884
0.7849 0.6359 0.8676
0.8049 0.1484 0.3623
```